Diffraction record for Th2Zn4Cd3. The powder XRD pattern is calculated, not measured: it uses a crystal structure in Alexandria, relaxed with PBE and Cu Kα, 1.54184 Å.
No peak broadening, texture or thermal motion is included.

Structural model:
Unit cell a=6.0979 b=16.2490 c=7.9090 alpha=90.00 beta=90.00 gamma=90.00
Space group Cmce (No. 64)
Asymmetric unit:
Th 0.0000 0.1036 0.0961 [8 per cell]
Zn 0.0000 0.1703 0.4761 [8 per cell]
Zn 0.2500 0.0600 0.7500 [8 per cell]
Cd 0.0000 0.0000 0.5000 [4 per cell]
Cd 0.2500 0.2285 0.7500 [8 per cell]

Principal peaks in the range 2θ = 10–80°, low angle first:
index  d (Å)  I (rel.)
1 1 2  3.251  236
1 3 2  2.830  686
1 5 1  2.696  1000
2 2 1  2.685  553
0 6 1  2.562  276
0 2 3  2.508  511
2 4 0  2.438  340
2 0 2  2.415  709
1 7 2  1.902  236
3 5 1  1.684  246
4 0 0  1.524  307
2 6 4  1.415  216